[1]
# ThZr2
Theoretical X-ray powder pattern, Cu Kα (λ = 1.5418 Å). Input: a crystal structure in the Materials Project, relaxed with PBE.
Neutral-atom scattering factors, no anomalous dispersion.

Structure:
Unit cell a=7.250 b=7.232 c=3.390 alpha=76.76 beta=76.17 gamma=27.07
Positions (direct):
1 Th 0.000 0.000 0.000
2 Zr 0.327 0.327 0.673
3 Zr 0.673 0.673 0.327

Largest 6 diffraction maxima, low angle first, 10 to 90 degrees two-theta:
12.96 deg, 6.833 Å, rel. 16
27.11 deg, 3.289 Å, rel. 18
32.94 deg, 2.719 Å, rel. 100
37.09 deg, 2.424 Å, rel. 18
37.97 deg, 2.370 Å, rel. 17
39.57 deg, 2.278 Å, rel. 15

[2]
# CuSnO6
Theoretical X-ray powder pattern, Cu Kα (λ = 1.5418 Å). Input: a crystal structure in the Materials Project, relaxed with PBE.
Neutral-atom scattering factors, no anomalous dispersion.

Structure:
Unit cell a=8.110 b=8.238 c=6.401 alpha=90.00 beta=90.00 gamma=90.00
Positions (direct):
1 Cu 0.249 0.248 0.000
2 Cu 0.251 0.748 0.500
3 Cu 0.749 0.252 0.500
4 Cu 0.751 0.752 0.000
5 Sn 0.250 0.249 0.501
6 Sn 0.250 0.749 0.001
7 Sn 0.750 0.251 0.001
8 Sn 0.750 0.751 0.501
9 O 0.003 0.230 0.859
10 O 0.007 0.772 0.641
11 O 0.163 0.332 0.236
12 O 0.167 0.664 0.262
13 O 0.232 0.995 0.358
14 O 0.234 0.003 0.142
15 O 0.266 0.503 0.642
16 O 0.268 0.495 0.858
17 O 0.333 0.164 0.762
18 O 0.337 0.832 0.736
19 O 0.493 0.272 0.141
20 O 0.497 0.730 0.359
21 O 0.503 0.270 0.359
22 O 0.507 0.728 0.141
23 O 0.663 0.168 0.736
24 O 0.667 0.836 0.762
25 O 0.732 0.505 0.858
26 O 0.734 0.497 0.642
27 O 0.766 0.997 0.142
28 O 0.768 0.005 0.358
29 O 0.833 0.336 0.262
30 O 0.837 0.668 0.236
31 O 0.993 0.228 0.641
32 O 0.997 0.770 0.859

Largest 6 diffraction maxima, low angle first, 10 to 90 degrees two-theta:
21.57 deg, 4.119 Å, rel. 100
21.92 deg, 4.055 Å, rel. 96
30.94 deg, 2.890 Å, rel. 33
35.53 deg, 2.527 Å, rel. 47
35.74 deg, 2.512 Å, rel. 40
42.13 deg, 2.145 Å, rel. 64

[3]
# YAlO3
Theoretical X-ray powder pattern, Cu Kα (λ = 1.5418 Å). Input: a crystal structure in the Materials Project, relaxed with PBE.
Neutral-atom scattering factors, no anomalous dispersion.

Structure:
Unit cell a=3.489 b=3.489 c=11.484 alpha=90.00 beta=90.00 gamma=120.00
Positions (direct):
1 Y 0.000 0.000 0.000
2 Y 0.000 0.000 0.500
3 Al 0.333 0.667 0.250
4 Al 0.667 0.333 0.750
5 O 0.000 0.000 0.250
6 O 0.000 0.000 0.750
7 O 0.333 0.667 0.092
8 O 0.333 0.667 0.408
9 O 0.667 0.333 0.592
10 O 0.667 0.333 0.908

Largest 6 diffraction maxima, low angle first, 10 to 90 degrees two-theta:
15.43 deg, 5.742 Å, rel. 61
29.57 deg, 3.021 Å, rel. 64
31.15 deg, 2.871 Å, rel. 39
33.52 deg, 2.674 Å, rel. 100
43.48 deg, 2.081 Å, rel. 78
52.46 deg, 1.744 Å, rel. 54

[4]
# Fe2Re5As12
Theoretical X-ray powder pattern, Cu Kα (λ = 1.5418 Å). Input: a crystal structure in the Materials Project, relaxed with PBE.
Neutral-atom scattering factors, no anomalous dispersion.

Structure:
Unit cell a=12.854 b=15.844 c=3.118 alpha=90.00 beta=90.00 gamma=90.00
Positions (direct):
1 Fe 0.127 0.155 0.000
2 Fe 0.373 0.655 0.500
3 Fe 0.627 0.345 0.500
4 Fe 0.873 0.845 0.000
5 Re 0.000 0.500 0.500
6 Re 0.084 0.761 0.000
7 Re 0.183 0.896 0.500
8 Re 0.317 0.396 0.000
9 Re 0.416 0.261 0.500
10 Re 0.500 0.000 0.000
11 Re 0.584 0.739 0.500
12 Re 0.683 0.604 0.000
13 Re 0.817 0.104 0.500
14 Re 0.916 0.239 0.000
15 As 0.030 0.921 0.000
16 As 0.070 0.260 0.500
17 As 0.095 0.597 0.000
18 As 0.156 0.406 0.500
19 As 0.208 0.059 0.500
20 As 0.229 0.741 0.500
21 As 0.271 0.241 0.000
22 As 0.292 0.559 0.000
23 As 0.344 0.906 0.000
24 As 0.405 0.097 0.500
25 As 0.430 0.760 0.000
26 As 0.470 0.421 0.500
27 As 0.530 0.579 0.500
28 As 0.570 0.240 0.000
29 As 0.595 0.903 0.500
30 As 0.656 0.094 0.000
31 As 0.708 0.441 0.000
32 As 0.729 0.759 0.000
33 As 0.771 0.259 0.500
34 As 0.792 0.941 0.500
35 As 0.844 0.594 0.500
36 As 0.905 0.403 0.000
37 As 0.930 0.740 0.500
38 As 0.970 0.079 0.000

Largest 6 diffraction maxima, low angle first, 10 to 90 degrees two-theta:
14.88 deg, 5.955 Å, rel. 58
32.41 deg, 2.762 Å, rel. 58
33.93 deg, 2.642 Å, rel. 100
36.07 deg, 2.490 Å, rel. 96
45.74 deg, 1.984 Å, rel. 51
54.48 deg, 1.684 Å, rel. 44

[5]
# LaNb2CuClO7
Theoretical X-ray powder pattern, Cu Kα (λ = 1.5418 Å). Input: a crystal structure in the Materials Project, relaxed with PBE.
Neutral-atom scattering factors, no anomalous dispersion.

Structure:
Unit cell a=3.956 b=11.822 c=3.943 alpha=90.00 beta=90.00 gamma=90.00
Positions (direct):
1 La 0.000 0.000 0.000
2 Nb 0.500 0.190 0.497
3 Nb 0.500 0.810 0.497
4 Cu 0.500 0.500 0.548
5 Cl 0.000 0.500 0.864
6 O 0.000 0.153 0.501
7 O 0.000 0.847 0.501
8 O 0.500 0.000 0.499
9 O 0.500 0.153 0.999
10 O 0.500 0.344 0.484
11 O 0.500 0.656 0.484
12 O 0.500 0.847 0.999

Largest 6 diffraction maxima, low angle first, 10 to 90 degrees two-theta:
22.53 deg, 3.946 Å, rel. 26
27.15 deg, 3.284 Å, rel. 52
32.07 deg, 2.791 Å, rel. 100
44.64 deg, 2.030 Å, rel. 18
46.05 deg, 1.971 Å, rel. 24
57.15 deg, 1.612 Å, rel. 23

[6]
# Ga2S3O12
Theoretical X-ray powder pattern, Cu Kα (λ = 1.5418 Å). Input: a crystal structure in the Materials Project, relaxed with PBE.
Neutral-atom scattering factors, no anomalous dispersion.

Structure:
Unit cell a=8.783 b=8.783 c=8.783 alpha=57.48 beta=57.48 gamma=57.48
Positions (direct):
1 Ga 0.147 0.147 0.147
2 Ga 0.353 0.353 0.353
3 Ga 0.647 0.647 0.647
4 Ga 0.853 0.853 0.853
5 S 0.041 0.750 0.459
6 S 0.250 0.541 0.959
7 S 0.459 0.041 0.750
8 S 0.541 0.959 0.250
9 S 0.750 0.459 0.041
10 S 0.959 0.250 0.541
11 O 0.016 0.769 0.630
12 O 0.066 0.922 0.286
13 O 0.078 0.714 0.934
14 O 0.130 0.269 0.516
15 O 0.214 0.578 0.434
16 O 0.231 0.370 0.984
17 O 0.269 0.516 0.130
18 O 0.286 0.066 0.922
19 O 0.370 0.984 0.231
20 O 0.422 0.566 0.786
21 O 0.434 0.214 0.578
22 O 0.484 0.870 0.731
23 O 0.516 0.130 0.269
24 O 0.566 0.786 0.422
25 O 0.578 0.434 0.214
26 O 0.630 0.016 0.769
27 O 0.714 0.934 0.078
28 O 0.731 0.484 0.870
29 O 0.769 0.630 0.016
30 O 0.786 0.422 0.566
31 O 0.870 0.731 0.484
32 O 0.922 0.286 0.066
33 O 0.934 0.078 0.714
34 O 0.984 0.231 0.370

Largest 6 diffraction maxima, low angle first, 10 to 90 degrees two-theta:
14.56 deg, 6.084 Å, rel. 49
20.25 deg, 4.385 Å, rel. 68
21.04 deg, 4.223 Å, rel. 35
24.35 deg, 3.656 Å, rel. 100
29.36 deg, 3.042 Å, rel. 53
32.41 deg, 2.763 Å, rel. 50